# 1
# Ag2RhCl5
Computed powder diffraction line list, a wavelength of 1.5418 Å. Input: a structure optimized by DFT (GGA-PBE).
No peak broadening, texture or thermal motion is included.

Structural model:
Unit cell a=10.3388 b=9.2270 c=4.8541 alpha=90.00 beta=116.27 gamma=90.00
Space group Cm (No. 8)
Asymmetric unit:
Ag 0.0000 0.2354 0.0000 [4 per cell]
Rh 0.2354 0.0000 0.5405 [2 per cell]
Cl 0.1991 0.0000 0.0019 [2 per cell]
Cl 0.2373 0.2565 0.5392 [4 per cell]
Cl 0.4769 0.5000 0.2859 [2 per cell]
Cl 0.4892 0.0000 0.7945 [2 per cell]

Top 12 peaks for 2θ = 15–90°, in order of rising 2θ:
index	2theta	I (rel.)
1 1 -1	20.7	29
2 0 -1	20.9	100
2 2 0	27.3	35
0 2 1	28.2	33
2 2 -1	28.6	36
2 0 1	33.9	33
4 0 0	38.9	35
0 4 0	39.0	36
0 0 2	41.5	25
2 2 -2	42.1	28
2 4 -1	44.7	24
4 4 0	56.3	26

***

# 2
# AgRu2Cl8
Computed powder diffraction line list, a wavelength of 1.5418 Å. Input: a structure optimized by DFT (GGA-PBE).
No peak broadening, texture or thermal motion is included.

Structural model:
Unit cell a=4.8525 b=8.1861 c=8.1931 alpha=60.09 beta=89.99 gamma=90.00
Space group P-1 (No. 2)
Asymmetric unit:
Ag 0.0000 0.0000 0.0000 [1 per cell]
Ru 0.2394 0.6666 0.6666 [2 per cell]
Cl 0.2549 0.3334 0.3333 [2 per cell]
Cl 0.2556 0.3441 0.8290 [2 per cell]
Cl 0.2556 0.8269 0.3444 [2 per cell]
Cl 0.2556 0.8290 0.8271 [2 per cell]

Top 12 peaks for 2θ = 15–90°, in order of rising 2θ:
index	2theta	I (rel.)
0 2 1	21.7	100
1 1 0	22.2	83
1 2 1	28.5	16
1 2 0	31.2	13
0 3 3	38.0	23
-1 2 3	38.3	35
2 1 0	39.2	21
0 4 2	44.2	50
2 2 2	45.3	33
1 1 -3	50.0	17
2 3 1	50.7	15
2 4 2	59.0	15

***

# 3
# Ag4S2Cl
Computed powder diffraction line list, a wavelength of 1.5418 Å. Input: a structure optimized by DFT (GGA-PBE).
No peak broadening, texture or thermal motion is included.

Structural model:
Unit cell a=3.8148 b=14.5043 c=11.7898 alpha=90.00 beta=90.00 gamma=90.00
Space group Pbcm (No. 57)
Asymmetric unit:
Ag 0.0021 0.2500 0.0000 [4 per cell]
Ag 0.4895 0.5227 0.1191 [8 per cell]
Ag 0.4967 0.6484 0.7500 [4 per cell]
S 0.4981 0.6449 0.5478 [8 per cell]
Cl 0.0038 0.1078 0.2500 [4 per cell]

Top 12 peaks for 2θ = 15–90°, in order of rising 2θ:
index	2theta	I (rel.)
1 0 0	23.3	61
0 4 1	25.7	49
1 2 0	26.4	100
1 2 1	27.5	36
0 4 2	28.9	45
1 2 2	30.5	45
0 2 4	32.8	99
1 2 3	35.0	51
1 6 0	44.4	55
1 4 4	46.3	85
2 0 0	47.7	39
2 2 4	59.1	34

***

# 4
# Ag7S2Cl3
Computed powder diffraction line list, a wavelength of 1.5418 Å. Input: a structure optimized by DFT (GGA-PBE).
No peak broadening, texture or thermal motion is included.

Structural model:
Unit cell a=5.0587 b=22.9725 c=4.5731 alpha=90.00 beta=90.11 gamma=90.00
Space group C2/m (No. 12)
Asymmetric unit:
Ag 0.0000 0.0000 0.0000 [2 per cell]
Ag 0.0000 0.1401 0.5000 [4 per cell]
Ag 0.0000 0.2230 0.0000 [4 per cell]
Ag 0.0000 0.4241 0.0000 [4 per cell]
S 0.0000 0.1066 0.0000 [4 per cell]
Cl 0.0000 0.2965 0.5000 [4 per cell]
Cl 0.0000 0.5000 0.5000 [2 per cell]

Top 12 peaks for 2θ = 15–90°, in order of rising 2θ:
index	2theta	I (rel.)
0 0 1	19.4	26
1 3 0	21.0	28
0 4 1	24.9	29
0 6 1	30.4	37
1 7 0	32.5	23
1 5 1	32.8	100
2 0 0	35.5	60
0 0 2	39.4	44
1 9 1	44.4	45
2 6 1	47.4	21
2 0 -2	54.0	17
2 0 2	54.1	17